Structure and theoretical powder XRD pattern of AcSmMg (a crystal structure in Alexandria, relaxed with PBE; Cu Kα (λ = 1.5418 Å)).
Intensities are scaled so that the largest is 100.

```
data_AcSmMg
_chemical_formula_sum 'Ac4 Sm4 Mg4'
_space_group_name_H-M_alt 'P 1 21/c 1'
_space_group_IT_number 14
_space_group_name_Hall '-P 2ybc'
_cell_length_a 3.7323
_cell_length_b 11.3395
_cell_length_c 9.6963
_cell_angle_alpha 90.00
_cell_angle_beta 90.69
_cell_angle_gamma 90.00
loop_
_atom_site_label
_atom_site_fract_x
_atom_site_fract_y
_atom_site_fract_z
Ac1 0.2498 0.1496 0.0624
Sm1 0.2497 0.5991 0.1023
Mg1 0.2518 0.6272 0.7565
```

Peak list (10 most intense, 2θ = 5–70°, by angle)
(hkl), d (Å), 2θ (°), Rel. int.
0 2 1, 4.894, 18.1, 44.1
0 0 2, 4.848, 18.3, 32.7
0 3 1, 3.522, 25.3, 25.7
1 2 -1, 2.976, 30.0, 100.0
1 2 1, 2.959, 30.2, 64.1
1 0 2, 2.940, 30.4, 29.0
0 4 0, 2.835, 31.6, 31.6
0 2 3, 2.808, 31.9, 72.5
1 4 -2, 2.053, 44.1, 20.2
1 0 -4, 2.042, 44.4, 28.9

---

Structure and theoretical powder XRD pattern of PuN2F4 (a crystal structure in Alexandria, relaxed with PBE; Cu Kα (λ = 1.5418 Å)).
Intensities are scaled so that the largest is 100.

```
data_PuN2F4
_chemical_formula_sum 'Pu1 N2 F4'
_space_group_name_H-M_alt 'P -1'
_space_group_IT_number 2
_space_group_name_Hall '-P 1'
_cell_length_a 4.1952
_cell_length_b 4.1955
_cell_length_c 11.4417
_cell_angle_alpha 90.12
_cell_angle_beta 100.24
_cell_angle_gamma 119.99
loop_
_atom_site_label
_atom_site_fract_x
_atom_site_fract_y
_atom_site_fract_z
Pu1 0.0000 0.0000 0.0000
N1 0.4228 0.2115 0.6289
F1 0.1164 0.0594 0.1796
F2 0.3338 0.6669 0.0008
```

Peak list (10 most intense, 2θ = 5–70°, by angle)
(hkl), d (Å), 2θ (°), Rel. int.
0 0 1, 11.195, 7.9, 100.0
0 0 2, 5.598, 15.8, 18.8
0 0 3, 3.732, 23.8, 8.0
1 0 -1, 3.612, 24.6, 22.3
1 0 0, 3.551, 25.1, 14.9
1 -1 1, 3.335, 26.7, 14.5
1 0 1, 3.199, 27.9, 8.5
1 1 -1, 2.098, 43.1, 9.8
2 -1 0, 2.062, 43.9, 10.7
0 2 -1, 1.814, 50.3, 4.2

---

Structure and theoretical powder XRD pattern of La2Sc2Si2H (a crystal structure in Alexandria, relaxed with PBE; Cu Kα (λ = 1.5418 Å)).
Intensities are scaled so that the largest is 100.

```
data_La2Sc2Si2H
_chemical_formula_sum 'La4 Sc4 Si4 H2'
_space_group_name_H-M_alt 'I 4/m m m'
_space_group_IT_number 139
_space_group_name_Hall '-I 4 2'
_cell_length_a 4.3302
_cell_length_b 4.3302
_cell_length_c 16.0902
_cell_angle_alpha 90.00
_cell_angle_beta 90.00
_cell_angle_gamma 90.00
loop_
_atom_site_label
_atom_site_fract_x
_atom_site_fract_y
_atom_site_fract_z
La1 0.0000 0.0000 0.1780
Sc1 0.0000 0.5000 0.0000
Si1 0.0000 0.0000 0.3817
H1 0.0000 0.0000 0.0000
```

Peak list (10 most intense, 2θ = 5–70°, by angle)
(hkl), d (Å), 2θ (°), Rel. int.
1 0 3, 3.369, 26.5, 100.0
1 1 0, 3.062, 29.2, 43.7
1 1 2, 2.862, 31.3, 79.2
0 0 6, 2.682, 33.4, 27.5
1 0 5, 2.583, 34.7, 63.2
1 1 4, 2.436, 36.9, 34.5
2 0 0, 2.165, 41.7, 49.2
2 1 3, 1.821, 50.1, 35.6
2 0 6, 1.685, 54.5, 26.3
2 1 5, 1.659, 55.4, 32.5